The following is a theoretical XRD peak list of Ac4Ge5Au3. It was derived from DFT lattice parameters and positions (PBE), using Cu Kα.

Structure:
```
data_Ac4Ge5Au3
_chemical_formula_sum 'Ac8 Ge10 Au6'
_symmetry_space_group_name_H-M 'C 1 2/m 1'
_symmetry_Int_Tables_number 12
_symmetry_space_group_name_Hall '-C 2y'
_cell_length_a 15.128
_cell_length_b 4.756
_cell_length_c 10.453
_cell_angle_alpha 90.00
_cell_angle_beta 116.77
_cell_angle_gamma 90.00
loop_
_atom_site_label
_atom_site_type_symbol
_atom_site_fract_x
_atom_site_fract_y
_atom_site_fract_z
Ac1 Ac 0.041 0.000 0.332
Ac2 Ac 0.241 0.500 0.212
Ge1 Ge 0.000 0.500 0.000
Ge2 Ge 0.091 0.500 0.604
Ge3 Ge 0.217 0.500 0.514
Au1 Au 0.000 0.000 0.000
Au2 Au 0.134 0.500 0.878
```

Principal peaks in the range 2θ from 10° to 90°, sorted by position:
25.76 deg, I 100, (3 1 -1)
27.28 deg, I 72, (3 1 0)
27.70 deg, I 22, (2 0 2)
31.82 deg, I 36, (3 1 1)
32.48 deg, I 99, (1 1 -3)
35.42 deg, I 32, (5 1 -2)
35.59 deg, I 48, (4 0 -4)
36.61 deg, I 28, (6 0 -1)
36.85 deg, I 48, (2 0 3)
37.84 deg, I 68, (0 2 0)
52.92 deg, I 31, (4 2 -4)
53.85 deg, I 33, (2 2 3)